Computed X-ray diffraction stick pattern
Compound: CePr4NdSe8
Radiation: Cu Ka
Structure: a crystal structure in Alexandria, relaxed with GGA-PBE

The 8 most intense peaks (10° ≤ 2θ ≤ 90°), by angle:
20.28°, rel. 25, hkl 1 0 4
23.82°, rel. 88, hkl 0 2 1
28.83°, rel. 51, hkl 0 2 4
37.73°, rel. 46, hkl 1 2 5
41.22°, rel. 100, hkl 2 0 8
57.11°, rel. 21, hkl 1 0 13
59.72°, rel. 16, hkl 0 4 8
75.14°, rel. 32, hkl 0 2 16

Crystal structure
```
data_CePr4NdSe8
_cell_length_a 8.7591
_cell_length_b 8.7591
_cell_length_c 21.4569
_cell_angle_alpha 90.00
_cell_angle_beta 90.00
_cell_angle_gamma 120.00
_space_group_name_H-M_alt 'R 3 m'
_space_group_IT_number 160
_space_group_name_Hall 'R 3 -2"'
loop_
_atom_site_label
_atom_site_type_symbol
_atom_site_fract_x
_atom_site_fract_y
_atom_site_fract_z
Ce1 Ce 0.0000 0.0000 0.0000
Pr1 Pr 0.0000 0.0000 0.3761
Pr2 Pr 0.0007 0.5004 0.5004
Nd1 Nd 0.0000 0.0000 0.6247
Se1 Se 0.0000 0.0000 0.2431
Se2 Se 0.0000 0.0000 0.7567
Se3 Se 0.0221 0.5110 0.7525
Se4 Se 0.1764 0.3528 0.5817
```


Computed X-ray diffraction stick pattern
Compound: Sc4Ga
Radiation: Cu Ka
Structure: a crystal structure in Alexandria, relaxed with GGA-PBE

The 8 most intense peaks (10° ≤ 2θ ≤ 90°), by angle:
35.47°, rel. 100, hkl 1 0 5
37.91°, rel. 23, hkl 2 0 0
38.05°, rel. 21, hkl 0 2 4
39.48°, rel. 10, hkl 1 2 3
54.80°, rel. 14, hkl 2 2 4
61.98°, rel. 10, hkl 0 0 10
66.89°, rel. 14, hkl 3 0 5
72.29°, rel. 11, hkl 1 4 5

Crystal structure
```
data_Sc4Ga
_cell_length_a 4.7472
_cell_length_b 6.1046
_cell_length_c 14.9599
_cell_angle_alpha 90.00
_cell_angle_beta 90.00
_cell_angle_gamma 90.00
_space_group_name_H-M_alt 'I m m a'
_space_group_IT_number 74
_space_group_name_Hall '-I 2b 2'
loop_
_atom_site_label
_atom_site_type_symbol
_atom_site_fract_x
_atom_site_fract_y
_atom_site_fract_z
Sc1 Sc 0.0000 0.0000 0.0000
Sc2 Sc 0.0000 0.0055 0.1966
Sc3 Sc 0.0000 0.2500 0.6028
Ga1 Ga 0.0000 0.2500 0.3862
```


Computed X-ray diffraction stick pattern
Compound: AcPr2In
Radiation: Cu Ka
Structure: a crystal structure in Alexandria, relaxed with GGA-PBE

The 8 most intense peaks (10° ≤ 2θ ≤ 90°), by angle:
25.12°, rel. 11, hkl 1 0 1
30.02°, rel. 100, hkl 1 0 2
33.15°, rel. 42, hkl 1 1 0
37.92°, rel. 11, hkl 0 0 4
47.59°, rel. 15, hkl 2 0 0
51.24°, rel. 18, hkl 1 1 4
57.30°, rel. 32, hkl 2 1 2
62.40°, rel. 10, hkl 2 0 4

Crystal structure
```
data_AcPr2In
_cell_length_a 3.8216
_cell_length_b 3.8216
_cell_length_c 9.4903
_cell_angle_alpha 90.00
_cell_angle_beta 90.00
_cell_angle_gamma 90.00
_space_group_name_H-M_alt 'P 4/m m m'
_space_group_IT_number 123
_space_group_name_Hall '-P 4 2'
loop_
_atom_site_label
_atom_site_type_symbol
_atom_site_fract_x
_atom_site_fract_y
_atom_site_fract_z
Ac1 Ac 0.0000 0.0000 0.0000
Pr1 Pr 0.5000 0.5000 0.2829
In1 In 0.0000 0.0000 0.5000
```